[1]
DyMg4Pb7: computed XRD peak list (Cu Kα), based on a cell relaxed with GGA-PBE.
Intensities are scaled so that the largest is 1000.

The 6 most intense peaks (2θ from 10° to 80°), by angle:
- 2θ 22.85, I 1000
- 2θ 26.96, I 728
- 2θ 30.31, I 312
- 2θ 30.40, I 764
- 2θ 33.93, I 631
- 2θ 41.07, I 515

Cell and atoms:
```
DyMg4Pb7
1.0
6.8557 -2.9405 0.0000
6.8557 2.9405 0.0000
-5.8358 0.0000 8.8328
Dy Mg Pb
1 4 7
direct
0.0000 0.0000 0.0000
0.2923 0.2923 0.6787
0.4420 0.4420 0.2307
0.5580 0.5580 0.7693
0.7077 0.7077 0.3213
0.0797 0.0797 0.3607
0.2086 0.2086 0.8920
0.3405 0.3405 0.4139
0.5000 0.5000 0.0000
0.6595 0.6595 0.5861
0.7914 0.7914 0.1080
0.9203 0.9203 0.6393
```

---

[2]
DyMg2Pb3: computed XRD peak list (Cu Kα), based on a cell relaxed with GGA-PBE.
Intensities are scaled so that the largest is 1000.

The 6 most intense peaks (2θ from 10° to 80°), by angle:
- 2θ 26.10, I 283
- 2θ 31.82, I 1000
- 2θ 33.23, I 488
- 2θ 35.70, I 276
- 2θ 37.66, I 333
- 2θ 37.91, I 326

Cell and atoms:
```
DyMg2Pb3
1.0
4.7470 0.0000 0.0000
0.0000 9.8251 0.0000
0.0000 0.0000 6.9827
Dy Mg Pb
2 4 6
direct
0.0000 0.0566 0.0000
0.0000 0.9434 0.5000
0.0000 0.2959 0.5008
0.0000 0.7041 0.0008
0.5000 0.4995 0.7480
0.5000 0.5005 0.2480
0.0000 0.3989 0.9982
0.0000 0.6011 0.4982
0.5000 0.1652 0.7284
0.5000 0.1676 0.2708
0.5000 0.8324 0.7708
0.5000 0.8348 0.2284
```

---

[3]
Dy4Mg4Pb7: computed XRD peak list (Cu Kα), based on a cell relaxed with GGA-PBE.
Intensities are scaled so that the largest is 1000.

The 6 most intense peaks (2θ from 10° to 80°), by angle:
- 2θ 28.15, I 286
- 2θ 31.35, I 1000
- 2θ 33.37, I 372
- 2θ 45.94, I 159
- 2θ 46.66, I 153
- 2θ 51.88, I 253

Cell and atoms:
```
Dy4Mg4Pb7
1.0
-7.9877 7.9877 3.1697
7.9877 -7.9877 3.1697
7.9877 7.9877 -3.1697
Dy Mg Pb
8 8 14
direct
0.0000 0.1894 0.1894
0.0000 0.8106 0.8106
0.1894 0.0000 0.1894
0.3658 0.3658 0.7316
0.3658 0.6342 0.0000
0.6342 0.3658 0.0000
0.6342 0.6342 0.2684
0.8106 0.0000 0.8106
0.0947 0.5947 0.1894
0.0947 0.9053 0.5000
0.4053 0.5947 0.5000
0.4053 0.9053 0.8106
0.5947 0.0947 0.1894
0.5947 0.4053 0.5000
0.9053 0.0947 0.5000
0.9053 0.4053 0.8106
0.0000 0.4054 0.4054
0.0000 0.5946 0.5946
0.1945 0.1945 0.3889
0.1945 0.8056 0.0000
0.2267 0.5000 0.7267
0.2498 0.2498 0.0000
0.4054 0.0000 0.4054
0.5000 0.2267 0.7267
0.5000 0.7733 0.2733
0.5946 0.0000 0.5946
0.7502 0.7502 0.0000
0.7733 0.5000 0.2733
0.8056 0.1945 0.0000
0.8056 0.8056 0.6111
```

---

[4]
Dy2Mg5Tl3Pb2: computed XRD peak list (Cu Kα), based on a cell relaxed with GGA-PBE.
Intensities are scaled so that the largest is 1000.

The 6 most intense peaks (2θ from 10° to 80°), by angle:
- 2θ 23.67, I 790
- 2θ 26.66, I 505
- 2θ 28.60, I 1000
- 2θ 35.03, I 359
- 2θ 38.23, I 639
- 2θ 40.89, I 528

Cell and atoms:
```
Dy2Mg5Tl3Pb2
1.0
-2.2069 2.2069 17.9296
2.2069 -2.2069 17.9296
2.2069 2.2069 -17.9296
Dy Mg Tl Pb
2 5 3 2
direct
0.2154 0.2154 0.0000
0.7846 0.7846 0.0000
0.0000 0.0000 0.0000
0.1399 0.6399 0.5000
0.3601 0.8601 0.5000
0.6399 0.1399 0.5000
0.8601 0.3601 0.5000
0.3028 0.3028 0.0000
0.5000 0.5000 0.0000
0.6972 0.6972 0.0000
0.0810 0.0810 0.0000
0.9190 0.9190 0.0000
```

---

[5]
Dy3MgPd: computed XRD peak list (Cu Kα), based on a cell relaxed with GGA-PBE.
Intensities are scaled so that the largest is 1000.

The 6 most intense peaks (2θ from 10° to 80°), by angle:
- 2θ 13.38, I 252
- 2θ 31.53, I 1000
- 2θ 34.39, I 522
- 2θ 35.90, I 270
- 2θ 36.14, I 354
- 2θ 51.86, I 191

Cell and atoms:
```
Dy3MgPd
1.0
6.6173 0.0000 0.0000
0.0000 4.9704 0.0000
-0.0086 0.0000 8.1062
Dy Mg Pd
6 2 2
direct
0.2014 0.2500 0.0469
0.2023 0.2500 0.4529
0.2757 0.7500 0.7499
0.7243 0.2500 0.2501
0.7977 0.7500 0.5471
0.7986 0.7500 0.9531
0.4154 0.7500 0.2497
0.5846 0.2500 0.7503
0.0082 0.7500 0.2502
0.9918 0.2500 0.7498
```

---

[6]
DyMg9Pd3: computed XRD peak list (Cu Kα), based on a cell relaxed with GGA-PBE.
Intensities are scaled so that the largest is 1000.

The 6 most intense peaks (2θ from 10° to 80°), by angle:
- 2θ 13.24, I 662
- 2θ 18.46, I 569
- 2θ 25.86, I 610
- 2θ 36.59, I 1000
- 2θ 37.19, I 861
- 2θ 37.42, I 663

Cell and atoms:
```
DyMg9Pd3
1.0
2.8107 -7.0002 0.0000
2.8107 7.0002 0.0000
-2.5803 0.0000 6.6865
Dy Mg Pd
1 9 3
direct
0.0000 0.0000 0.0000
0.0000 0.0000 0.5000
0.0181 0.6650 0.6742
0.2966 0.5195 0.7875
0.3350 0.9819 0.3258
0.4805 0.7034 0.2125
0.5195 0.2966 0.7875
0.6650 0.0181 0.6742
0.7034 0.4805 0.2125
0.9819 0.3350 0.3258
0.0000 0.5000 0.0000
0.5000 0.0000 0.0000
0.5000 0.5000 0.5000
```

---

[7]
Dy2Mg2ScPd5: computed XRD peak list (Cu Kα), based on a cell relaxed with GGA-PBE.
Intensities are scaled so that the largest is 1000.

The 6 most intense peaks (2θ from 10° to 80°), by angle:
- 2θ 31.53, I 616
- 2θ 35.04, I 291
- 2θ 35.95, I 775
- 2θ 37.03, I 420
- 2θ 37.22, I 1000
- 2θ 63.71, I 289

Cell and atoms:
```
Dy2Mg2ScPd5
1.0
10.3007 0.0000 0.0000
0.0000 10.3007 0.0000
0.0000 0.0000 3.6012
Dy Mg Sc Pd
4 4 2 10
direct
0.1739 0.3261 0.0000
0.3261 0.8261 0.0000
0.6739 0.1739 0.0000
0.8261 0.6739 0.0000
0.1256 0.6256 0.0000
0.3744 0.1256 0.0000
0.6256 0.8744 0.0000
0.8744 0.3744 0.0000
0.0000 0.0000 0.0000
0.5000 0.5000 0.0000
0.0000 0.5000 0.5000
0.0544 0.7986 0.5000
0.2014 0.0544 0.5000
0.2986 0.5544 0.5000
0.4456 0.2986 0.5000
0.5000 0.0000 0.5000
0.5544 0.7014 0.5000
0.7014 0.4456 0.5000
0.7986 0.9456 0.5000
0.9456 0.2014 0.5000
```

---

[8]
DyMgSi2Pd5: computed XRD peak list (Cu Kα), based on a cell relaxed with GGA-PBE.
Intensities are scaled so that the largest is 1000.

The 6 most intense peaks (2θ from 10° to 80°), by angle:
- 2θ 36.78, I 1000
- 2θ 40.58, I 155
- 2θ 43.46, I 174
- 2θ 43.76, I 361
- 2θ 61.20, I 182
- 2θ 75.79, I 234

Cell and atoms:
```
DyMgSi2Pd5
1.0
4.1372 0.0000 0.0000
0.0000 4.1372 0.0000
0.0000 0.0000 8.8924
Dy Mg Si Pd
1 1 2 5
direct
0.0000 0.0000 0.0000
0.0000 0.0000 0.5000
0.5000 0.5000 0.3718
0.5000 0.5000 0.6282
0.0000 0.5000 0.2383
0.0000 0.5000 0.7617
0.5000 0.0000 0.2383
0.5000 0.0000 0.7617
0.5000 0.5000 0.0000
```

---

[9]
PmDyMg14: computed XRD peak list (Cu Kα), based on a cell relaxed with GGA-PBE.
Intensities are scaled so that the largest is 1000.

The 6 most intense peaks (2θ from 10° to 80°), by angle:
- 2θ 11.02, I 443
- 2θ 18.07, I 349
- 2θ 21.22, I 482
- 2θ 34.15, I 1000
- 2θ 36.61, I 416
- 2θ 64.35, I 305

Cell and atoms:
```
PmDyMg14
1.0
6.9418 0.0000 0.0000
0.0000 6.9418 0.0000
0.0000 0.0000 8.0278
Pm Dy Mg
1 1 14
direct
0.0000 0.0000 0.0000
0.5000 0.5000 0.0000
0.0000 0.0000 0.5000
0.0000 0.5000 0.0000
0.0000 0.5000 0.5000
0.2518 0.2518 0.2621
0.2518 0.2518 0.7379
0.2518 0.7482 0.2621
0.2518 0.7482 0.7379
0.5000 0.0000 0.0000
0.5000 0.0000 0.5000
0.5000 0.5000 0.5000
0.7482 0.2518 0.2621
0.7482 0.2518 0.7379
0.7482 0.7482 0.2621
0.7482 0.7482 0.7379
```

---

[10]
Pm12Dy7Mg: computed XRD peak list (Cu Kα), based on a cell relaxed with GGA-PBE.
Intensities are scaled so that the largest is 1000.

The 6 most intense peaks (2θ from 10° to 80°), by angle:
- 2θ 28.85, I 433
- 2θ 30.30, I 201
- 2θ 31.41, I 1000
- 2θ 33.49, I 489
- 2θ 35.60, I 370
- 2θ 51.34, I 214

Cell and atoms:
```
Pm12Dy7Mg
1.0
7.5341 4.3498 3.3939
-7.5341 4.3498 3.3939
0.0000 -8.6997 3.3939
Pm Dy Mg
12 7 1
direct
0.0570 0.4001 0.2934
0.2214 0.3806 0.6754
0.2934 0.0570 0.4001
0.3246 0.7786 0.6194
0.3806 0.6754 0.2214
0.4001 0.2934 0.0570
0.5999 0.7066 0.9430
0.6194 0.3246 0.7786
0.6754 0.2214 0.3806
0.7066 0.9430 0.5999
0.7786 0.6194 0.3246
0.9430 0.5999 0.7066
0.0084 0.3167 0.8966
0.1034 0.9916 0.6833
0.3167 0.8966 0.0084
0.5000 0.5000 0.5000
0.6833 0.1034 0.9916
0.8966 0.0084 0.3167
0.9916 0.6833 0.1034
0.0000 0.0000 0.0000
```

---

[11]
Pm2DyMg4: computed XRD peak list (Cu Kα), based on a cell relaxed with GGA-PBE.
Intensities are scaled so that the largest is 1000.

The 6 most intense peaks (2θ from 10° to 80°), by angle:
- 2θ 17.41, I 404
- 2θ 23.14, I 524
- 2θ 32.95, I 547
- 2θ 33.86, I 1000
- 2θ 41.42, I 237
- 2θ 59.43, I 401

Cell and atoms:
```
Pm2DyMg4
1.0
5.4365 0.0000 0.0000
0.0000 5.4365 0.0000
0.0000 0.0000 14.6018
Pm Dy Mg
4 2 8
direct
0.0000 0.0000 0.2473
0.0000 0.0000 0.7527
0.5000 0.5000 0.2527
0.5000 0.5000 0.7473
0.0000 0.0000 0.5000
0.5000 0.5000 0.0000
0.0000 0.5000 0.1139
0.0000 0.5000 0.3861
0.0000 0.5000 0.6139
0.0000 0.5000 0.8861
0.5000 0.0000 0.1139
0.5000 0.0000 0.3861
0.5000 0.0000 0.6139
0.5000 0.0000 0.8861
```

---

[12]
Pm4DyMg5: computed XRD peak list (Cu Kα), based on a cell relaxed with GGA-PBE.
Intensities are scaled so that the largest is 1000.

The 6 most intense peaks (2θ from 10° to 80°), by angle:
- 2θ 23.03, I 203
- 2θ 23.14, I 403
- 2θ 32.91, I 1000
- 2θ 40.60, I 187
- 2θ 53.27, I 172
- 2θ 58.81, I 250

Cell and atoms:
```
Pm4DyMg5
1.0
3.8431 0.0000 0.0000
0.0000 3.8431 0.0000
0.0000 0.0000 19.3062
Pm Dy Mg
4 1 5
direct
0.0000 0.0000 0.1012
0.0000 0.0000 0.3031
0.0000 0.0000 0.6969
0.0000 0.0000 0.8988
0.0000 0.0000 0.5000
0.5000 0.5000 0.0000
0.5000 0.5000 0.2023
0.5000 0.5000 0.4040
0.5000 0.5000 0.5960
0.5000 0.5000 0.7977
```